(1)
This entry pairs a crystal structure of CsLiPbS2 with its simulated powder diffractogram. Radiation: Cu Kα. Structure: a PBE-relaxed structure.
Kinematic intensities with the Lorentz-polarization factor, no thermal factor.

Peak list (12 most intense, 2θ from 10° to 80°, by intensity)
| hkl | Position (°2θ) | I (rel.) |
| --- | --- | --- |
| 1 1 -1 | 23.10 | 100 |
| 0 0 2 | 18.47 | 79 |
| 3 1 2 | 33.06 | 59 |
| 4 0 -1 | 24.53 | 57 |
| 3 1 1 | 28.57 | 56 |
| 3 1 0 | 26.80 | 55 |
| 1 1 -3 | 35.14 | 47 |
| 4 0 1 | 25.07 | 46 |
| 2 0 2 | 22.08 | 42 |
| 2 0 -3 | 29.87 | 35 |
| 2 0 -1 | 14.47 | 33 |
| 6 0 3 | 45.81 | 32 |

Structure:
```
data_CsLiPbS2
_chemical_formula_sum 'Cs4 Li4 Pb4 S8'
_cell_length_a 15.4883
_cell_length_b 4.3507
_cell_length_c 9.6101
_cell_angle_alpha 90.00
_cell_angle_beta 91.75
_cell_angle_gamma 90.00
_space_group_name_H-M_alt 'C 1 2/m 1'
_space_group_IT_number 12
loop_
_space_group_symop_operation_xyz
'x,y,z'
'-x,-y,-z'
'-x,y,-z'
'x,-y,z'
'x+1/2,y+1/2,z'
'-x+1/2,-y+1/2,-z'
'-x+1/2,y+1/2,-z'
'x+1/2,-y+1/2,z'
loop_
_atom_site_label
_atom_site_fract_x
_atom_site_fract_y
_atom_site_fract_z
Cs1 0.1657 0.0000 0.1786
Li1 0.1965 0.0000 0.5619
Pb1 0.0606 0.5000 0.7043
S1 0.1433 0.5000 0.4677
S2 0.1539 0.0000 0.8105
```


(2)
This entry pairs a crystal structure of CsLiPmSe2 with its simulated powder diffractogram. Radiation: Cu Kα. Structure: a PBE-relaxed structure.
Kinematic intensities with the Lorentz-polarization factor, no thermal factor.

Peak list (12 most intense, 2θ from 10° to 80°, by intensity)
| hkl | Position (°2θ) | I (rel.) |
| --- | --- | --- |
| 1 3 1 | 25.34 | 100 |
| 2 0 2 | 37.76 | 43 |
| 0 2 1 | 17.46 | 41 |
| 0 2 2 | 29.04 | 30 |
| 2 2 0 | 28.67 | 29 |
| 0 0 1 | 13.24 | 28 |
| 0 6 2 | 44.08 | 21 |
| 2 6 0 | 43.82 | 20 |
| 3 3 1 | 45.77 | 20 |
| 1 5 1 | 34.32 | 19 |
| 1 3 3 | 46.27 | 18 |
| 2 8 2 | 61.39 | 16 |

Structure:
```
data_CsLiPmSe2
_chemical_formula_sum 'Cs4 Li4 Pm4 Se8'
_cell_length_a 6.7891
_cell_length_b 15.6206
_cell_length_c 6.6895
_cell_angle_alpha 90.00
_cell_angle_beta 90.00
_cell_angle_gamma 90.00
_space_group_name_H-M_alt 'C m m e'
_space_group_IT_number 67
_space_group_name_Hall '-C 2a 2'
loop_
_atom_site_label
_atom_site_fract_x
_atom_site_fract_y
_atom_site_fract_z
Cs1 0.0000 0.2500 0.2324
Li1 0.0000 0.0000 0.0000
Pm1 0.2500 0.0000 0.5000
Se1 0.0000 0.1093 0.7403
```


(3)
This entry pairs a crystal structure of CsLiPrSe2 with its simulated powder diffractogram. Radiation: Cu Kα. Structure: a PBE-relaxed structure.
Kinematic intensities with the Lorentz-polarization factor, no thermal factor.

Peak list (12 most intense, 2θ from 10° to 80°, by intensity)
| hkl | Position (°2θ) | I (rel.) |
| --- | --- | --- |
| 1 3 1 | 25.17 | 100 |
| 2 0 2 | 37.53 | 43 |
| 0 2 1 | 17.32 | 39 |
| 0 2 2 | 28.81 | 29 |
| 2 2 0 | 28.55 | 28 |
| 0 0 1 | 13.13 | 24 |
| 1 5 1 | 34.09 | 20 |
| 0 6 2 | 43.74 | 20 |
| 3 3 1 | 45.55 | 20 |
| 2 6 0 | 43.56 | 19 |
| 1 3 3 | 45.90 | 18 |
| 2 8 2 | 60.95 | 18 |

Structure:
```
data_CsLiPrSe2
_chemical_formula_sum 'Cs4 Li4 Pr4 Se8'
_cell_length_a 6.8141
_cell_length_b 15.7301
_cell_length_c 6.7436
_cell_angle_alpha 90.00
_cell_angle_beta 90.00
_cell_angle_gamma 90.00
_space_group_name_H-M_alt 'C m m e'
_space_group_IT_number 67
_space_group_name_Hall '-C 2a 2'
loop_
_atom_site_label
_atom_site_fract_x
_atom_site_fract_y
_atom_site_fract_z
Cs1 0.0000 0.2500 0.2310
Li1 0.0000 0.0000 0.0000
Pr1 0.2500 0.0000 0.5000
Se1 0.0000 0.1103 0.7462
```


(4)
This entry pairs a crystal structure of CsLiPu2Se4 with its simulated powder diffractogram. Radiation: Cu Kα. Structure: a PBE-relaxed structure.
Kinematic intensities with the Lorentz-polarization factor, no thermal factor.

Peak list (12 most intense, 2θ from 10° to 80°, by intensity)
| hkl | Position (°2θ) | I (rel.) |
| --- | --- | --- |
| 0 2 3 | 21.78 | 100 |
| 1 3 1 | 28.42 | 81 |
| 1 3 2 | 30.32 | 77 |
| 1 1 5 | 37.37 | 61 |
| 0 0 2 | 11.95 | 58 |
| 1 5 3 | 41.78 | 49 |
| 1 3 0 | 27.76 | 49 |
| 2 0 0 | 42.00 | 38 |
| 1 3 5 | 41.45 | 38 |
| 0 2 5 | 32.65 | 28 |
| 0 6 3 | 41.61 | 27 |
| 0 4 0 | 24.56 | 27 |

Structure:
```
data_CsLiPu2Se4
_chemical_formula_sum 'Cs4 Li4 Pu8 Se16'
_cell_length_a 4.3026
_cell_length_b 14.5005
_cell_length_c 14.8131
_cell_angle_alpha 90.00
_cell_angle_beta 90.00
_cell_angle_gamma 90.00
_space_group_name_H-M_alt 'C m c m'
_space_group_IT_number 63
_space_group_name_Hall '-C 2c 2'
loop_
_atom_site_label
_atom_site_fract_x
_atom_site_fract_y
_atom_site_fract_z
Cs1 0.0000 0.1060 0.2500
Li1 0.0000 0.1713 0.7500
Pu1 0.0000 0.3672 0.0588
Se1 0.0000 0.0000 0.0000
Se2 0.0000 0.2579 0.6031
Se3 0.0000 0.4141 0.2500
```


(5)
This entry pairs a crystal structure of Cs2Li2PuSe4 with its simulated powder diffractogram. Radiation: Cu Kα. Structure: a PBE-relaxed structure.
Kinematic intensities with the Lorentz-polarization factor, no thermal factor.

Peak list (12 most intense, 2θ from 10° to 80°, by intensity)
| hkl | Position (°2θ) | I (rel.) |
| --- | --- | --- |
| 1 1 -2 | 29.76 | 100 |
| 4 0 -2 | 27.16 | 44 |
| 3 1 1 | 31.66 | 38 |
| 4 0 1 | 29.62 | 37 |
| 2 0 0 | 11.86 | 35 |
| 1 1 0 | 21.18 | 34 |
| 3 1 3 | 48.88 | 34 |
| 0 2 0 | 41.31 | 28 |
| 5 1 -1 | 35.16 | 27 |
| 7 1 -2 | 46.36 | 26 |
| 2 0 -2 | 21.97 | 25 |
| 2 0 1 | 18.86 | 20 |

Structure:
```
data_Cs2Li2PuSe4
_chemical_formula_sum 'Cs4 Li4 Pu2 Se8'
_cell_length_a 15.7547
_cell_length_b 4.3711
_cell_length_c 8.2777
_cell_angle_alpha 90.00
_cell_angle_beta 108.68
_cell_angle_gamma 90.00
_space_group_name_H-M_alt 'C 1 2/m 1'
_space_group_IT_number 12
loop_
_space_group_symop_operation_xyz
'x,y,z'
'-x,-y,-z'
'-x,y,-z'
'x,-y,z'
'x+1/2,y+1/2,z'
'-x+1/2,-y+1/2,-z'
'-x+1/2,y+1/2,-z'
'x+1/2,-y+1/2,z'
loop_
_atom_site_label
_atom_site_fract_x
_atom_site_fract_y
_atom_site_fract_z
Cs1 0.1389 0.0000 0.0654
Li1 0.1801 0.5000 0.4884
Pu1 0.0000 0.0000 0.5000
Se1 0.0164 0.5000 0.2853
Se2 0.1896 0.0000 0.6520
```


(6)
This entry pairs a crystal structure of CsRb2Li2 with its simulated powder diffractogram. Radiation: Cu Kα. Structure: a PBE-relaxed structure.
Kinematic intensities with the Lorentz-polarization factor, no thermal factor.

Peak list (12 most intense, 2θ from 10° to 80°, by intensity)
| hkl | Position (°2θ) | I (rel.) |
| --- | --- | --- |
| 1 0 3 | 22.53 | 100 |
| 1 1 0 | 18.07 | 85 |
| 2 1 3 | 34.41 | 67 |
| 2 0 0 | 25.67 | 42 |
| 3 2 3 | 51.12 | 21 |
| 3 1 0 | 41.12 | 20 |
| 3 0 3 | 43.42 | 17 |
| 2 2 0 | 36.62 | 16 |
| 1 1 6 | 41.92 | 16 |
| 4 1 3 | 58.07 | 14 |
| 3 1 6 | 56.86 | 13 |
| 5 0 3 | 70.64 | 12 |

Structure:
```
data_CsRb2Li2
_chemical_formula_sum 'Cs2 Rb4 Li4'
_cell_length_a 6.9410
_cell_length_b 6.9410
_cell_length_c 14.3936
_cell_angle_alpha 90.00
_cell_angle_beta 90.00
_cell_angle_gamma 90.00
_space_group_name_H-M_alt 'I 4/m m m'
_space_group_IT_number 139
_space_group_name_Hall '-I 4 2'
loop_
_atom_site_label
_atom_site_fract_x
_atom_site_fract_y
_atom_site_fract_z
Cs1 0.0000 0.0000 0.0000
Rb1 0.0000 0.0000 0.3533
Li1 0.0000 0.5000 0.2500
```


(7)
This entry pairs a crystal structure of Cs9Rb6Li with its simulated powder diffractogram. Radiation: Cu Kα. Structure: a PBE-relaxed structure.
Kinematic intensities with the Lorentz-polarization factor, no thermal factor.

Peak list (12 most intense, 2θ from 10° to 80°, by intensity)
| hkl | Position (°2θ) | I (rel.) |
| --- | --- | --- |
| 2 1 3 | 20.38 | 100 |
| 1 3 0 | 23.22 | 36 |
| 5 0 3 | 39.16 | 34 |
| 1 3 6 | 33.83 | 27 |
| 0 0 6 | 24.26 | 16 |
| 2 1 9 | 40.46 | 15 |
| 4 2 6 | 41.44 | 14 |
| 4 2 0 | 33.07 | 14 |
| 5 0 9 | 53.22 | 12 |
| 7 1 6 | 59.56 | 9 |
| 4 7 3 | 63.17 | 7 |
| 6 3 3 | 52.17 | 7 |

Structure:
```
data_Cs9Rb6Li
_chemical_formula_sum 'Cs18 Rb12 Li2'
_cell_length_a 12.1125
_cell_length_b 12.1125
_cell_length_c 22.0146
_cell_angle_alpha 90.00
_cell_angle_beta 90.00
_cell_angle_gamma 90.00
_space_group_name_H-M_alt 'I 4/m'
_space_group_IT_number 87
_space_group_name_Hall '-I 4'
loop_
_atom_site_label
_atom_site_fract_x
_atom_site_fract_y
_atom_site_fract_z
Cs1 0.0000 0.0000 0.0000
Cs2 0.1167 0.3080 0.1600
Rb1 0.0000 0.0000 0.3222
Rb2 0.0986 0.3044 0.5000
Li1 0.0000 0.0000 0.5000
```


(8)
This entry pairs a crystal structure of Cs6Rb23Li with its simulated powder diffractogram. Radiation: Cu Kα. Structure: a PBE-relaxed structure.
Kinematic intensities with the Lorentz-polarization factor, no thermal factor.

Peak list (12 most intense, 2θ from 10° to 80°, by intensity)
| hkl | Position (°2θ) | I (rel.) |
| --- | --- | --- |
| 4 4 0 | 22.25 | 100 |
| 3 3 3 | 20.42 | 83 |
| 9 3 3 | 39.68 | 30 |
| 6 6 0 | 33.65 | 28 |
| 4 2 2 | 19.24 | 23 |
| 6 0 0 | 23.62 | 18 |
| 5 3 1 | 23.29 | 17 |
| 13 3 1 | 54.31 | 15 |
| 5 5 5 | 34.37 | 15 |
| 8 4 4 | 39.05 | 14 |
| 10 6 2 | 47.61 | 14 |
| 7 5 3 | 36.21 | 14 |

Structure:
```
data_Cs6Rb23Li
_chemical_formula_sum 'Cs24 Rb92 Li4'
_cell_length_a 22.5985
_cell_length_b 22.5985
_cell_length_c 22.5985
_cell_angle_alpha 90.00
_cell_angle_beta 90.00
_cell_angle_gamma 90.00
_space_group_name_H-M_alt 'F m -3 m'
_space_group_IT_number 225
_space_group_name_Hall '-F 4 2 3'
loop_
_atom_site_label
_atom_site_fract_x
_atom_site_fract_y
_atom_site_fract_z
Cs1 0.0000 0.0000 0.1949
Rb1 0.0000 0.0000 0.5000
Rb2 0.0000 0.2500 0.2500
Rb3 0.1185 0.1185 0.3815
Rb4 0.1668 0.1668 0.1668
Li1 0.0000 0.0000 0.0000
```


(9)
This entry pairs a crystal structure of CsLi2SbRu with its simulated powder diffractogram. Radiation: Cu Kα. Structure: a PBE-relaxed structure.
Kinematic intensities with the Lorentz-polarization factor, no thermal factor.

Peak list (12 most intense, 2θ from 10° to 80°, by intensity)
| hkl | Position (°2θ) | I (rel.) |
| --- | --- | --- |
| 1 1 0 | 23.66 | 100 |
| 2 0 0 | 33.71 | 45 |
| 1 1 2 | 43.42 | 39 |
| 2 0 2 | 50.04 | 29 |
| 1 1 1 | 29.71 | 23 |
| 3 1 2 | 67.04 | 21 |
| 1 0 1 | 24.42 | 20 |
| 3 1 0 | 54.57 | 20 |
| 0 0 2 | 35.86 | 19 |
| 1 0 0 | 16.67 | 18 |
| 2 2 0 | 48.42 | 16 |
| 0 0 1 | 17.71 | 15 |

Structure:
```
data_CsLi2SbRu
_chemical_formula_sum 'Cs1 Li2 Sb1 Ru1'
_cell_length_a 5.3177
_cell_length_b 5.3177
_cell_length_c 5.0078
_cell_angle_alpha 90.00
_cell_angle_beta 90.00
_cell_angle_gamma 90.00
_space_group_name_H-M_alt 'P 4/m m m'
_space_group_IT_number 123
_space_group_name_Hall '-P 4 2'
loop_
_atom_site_label
_atom_site_fract_x
_atom_site_fract_y
_atom_site_fract_z
Cs1 0.0000 0.0000 0.0000
Li1 0.0000 0.5000 0.5000
Sb1 0.5000 0.5000 0.0000
Ru1 0.5000 0.5000 0.5000
```


(10)
This entry pairs a crystal structure of Cs3LiS2 with its simulated powder diffractogram. Radiation: Cu Kα. Structure: a PBE-relaxed structure.
Kinematic intensities with the Lorentz-polarization factor, no thermal factor.

Peak list (12 most intense, 2θ from 10° to 80°, by intensity)
| hkl | Position (°2θ) | I (rel.) |
| --- | --- | --- |
| 0 2 2 | 28.03 | 100 |
| 1 4 1 | 29.44 | 93 |
| 1 3 0 | 21.06 | 75 |
| 2 0 2 | 33.25 | 59 |
| 1 2 1 | 20.44 | 57 |
| 3 3 2 | 45.52 | 51 |
| 2 2 0 | 24.62 | 48 |
| 3 1 0 | 32.90 | 39 |
| 2 1 1 | 25.59 | 34 |
| 2 6 2 | 50.38 | 32 |
| 0 4 2 | 35.22 | 27 |
| 2 4 0 | 32.55 | 24 |

Structure:
```
data_Cs3LiS2
_chemical_formula_sum 'Cs12 Li4 S8'
_cell_length_a 8.3111
_cell_length_b 14.6842
_cell_length_c 7.0797
_cell_angle_alpha 90.00
_cell_angle_beta 90.00
_cell_angle_gamma 90.00
_space_group_name_H-M_alt 'I b a m'
_space_group_IT_number 72
_space_group_name_Hall '-I 2 2c'
loop_
_atom_site_label
_atom_site_fract_x
_atom_site_fract_y
_atom_site_fract_z
Cs1 0.0000 0.0000 0.2500
Cs2 0.1864 0.3260 0.0000
Li1 0.0000 0.5000 0.2500
S1 0.1854 0.4090 0.5000
```


(11)
This entry pairs a crystal structure of Cs3LiTh3S8 with its simulated powder diffractogram. Radiation: Cu Kα. Structure: a PBE-relaxed structure.
Kinematic intensities with the Lorentz-polarization factor, no thermal factor.

Peak list (12 most intense, 2θ from 10° to 80°, by intensity)
| hkl | Position (°2θ) | I (rel.) |
| --- | --- | --- |
| 0 2 4 | 28.60 | 100 |
| 2 0 2 | 25.58 | 50 |
| 0 1 2 | 14.19 | 38 |
| 2 0 8 | 38.56 | 37 |
| 2 2 0 | 43.12 | 34 |
| 0 0 6 | 21.88 | 31 |
| 0 0 3 | 10.89 | 30 |
| 2 2 6 | 48.86 | 23 |
| 1 0 4 | 19.01 | 20 |
| 0 2 10 | 44.77 | 19 |
| 4 0 4 | 52.57 | 18 |
| 2 4 4 | 70.26 | 15 |

Structure:
```
data_Cs3LiTh3S8
_chemical_formula_sum 'Cs9 Li3 Th9 S24'
_cell_length_a 8.3909
_cell_length_b 8.3909
_cell_length_c 24.3764
_cell_angle_alpha 90.00
_cell_angle_beta 90.00
_cell_angle_gamma 120.00
_space_group_name_H-M_alt 'R -3 m'
_space_group_IT_number 166
_space_group_name_Hall '-R 3 2"'
loop_
_atom_site_label
_atom_site_fract_x
_atom_site_fract_y
_atom_site_fract_z
Cs1 0.0000 0.5000 0.0000
Li1 0.0000 0.0000 0.5000
Th1 0.0000 0.5000 0.5000
S1 0.0000 0.0000 0.2294
S2 0.0129 0.5065 0.7747
```


(12)
This entry pairs a crystal structure of CsLiTmS2 with its simulated powder diffractogram. Radiation: Cu Kα. Structure: a PBE-relaxed structure.
Kinematic intensities with the Lorentz-polarization factor, no thermal factor.

Peak list (12 most intense, 2θ from 10° to 80°, by intensity)
| hkl | Position (°2θ) | I (rel.) |
| --- | --- | --- |
| 0 2 1 | 18.75 | 100 |
| 1 3 1 | 26.29 | 89 |
| 0 2 2 | 31.58 | 89 |
| 2 2 0 | 27.86 | 76 |
| 0 0 1 | 14.48 | 62 |
| 2 0 2 | 38.88 | 49 |
| 0 4 0 | 23.85 | 47 |
| 2 4 1 | 37.97 | 45 |
| 0 6 2 | 47.06 | 42 |
| 2 6 0 | 44.48 | 39 |
| 1 1 1 | 20.07 | 36 |
| 2 4 2 | 46.12 | 33 |

Structure:
```
data_CsLiTmS2
_chemical_formula_sum 'Cs4 Li4 Tm4 S8'
_cell_length_a 7.0915
_cell_length_b 14.9264
_cell_length_c 6.1189
_cell_angle_alpha 90.00
_cell_angle_beta 90.00
_cell_angle_gamma 90.00
_space_group_name_H-M_alt 'C m m e'
_space_group_IT_number 67
_space_group_name_Hall '-C 2a 2'
loop_
_atom_site_label
_atom_site_fract_x
_atom_site_fract_y
_atom_site_fract_z
Cs1 0.0000 0.2500 0.2215
Li1 0.0000 0.0000 0.0000
Tm1 0.2500 0.0000 0.5000
S1 0.0000 0.0991 0.7028
```